Starting from a structure optimized by DFT (GGA-PBE), the X-ray diffraction stick pattern of Ba3BPO7 was computed for Cu Kα X-rays.
Kinematic intensities with the Lorentz-polarization factor, no thermal factor.

Structural model:
a = 5.600 Å, b = 5.600 Å, c = 14.900 Å
α = 90.00°, β = 90.00°, γ = 120.00°
Fractional positions:
1 Ba 0.000 0.000 0.000
2 Ba 0.000 0.000 0.500
3 Ba 0.333 0.667 0.162
4 Ba 0.333 0.667 0.878
5 Ba 0.667 0.333 0.378
6 Ba 0.667 0.333 0.662
7 B 0.333 0.667 0.521
8 B 0.667 0.333 0.021
9 P 0.000 0.000 0.275
10 P 0.000 0.000 0.775
11 O 0.000 0.000 0.171
12 O 0.000 0.000 0.671
13 O 0.044 0.522 0.522
14 O 0.150 0.301 0.312
15 O 0.150 0.850 0.312
16 O 0.301 0.150 0.812
17 O 0.478 0.522 0.522
18 O 0.478 0.956 0.522
19 O 0.522 0.044 0.022
20 O 0.522 0.478 0.022
21 O 0.699 0.850 0.312
22 O 0.850 0.150 0.812
23 O 0.850 0.699 0.812
24 O 0.956 0.478 0.022

Principal peaks in the range 2θ from 10° to 90°, sorted by position:
2θ (°)  I (rel.)
19.25  583
21.87  204
25.67  902
30.25  779
31.96  1000
39.06  212
41.44  315
44.59  379
49.03  206
55.90  273